[1]
Theoretical XRD peak list
Compound: MgFe3O4
Radiation: Cu Kα
Structure: a crystal structure in the Materials Project, relaxed with GGA+U

Crystal structure
Cell lengths 10.282, 10.282, 10.282 Å; angles 17.03, 17.03, 17.03 degrees
Sites, in units of the cell vectors:
Mg 0.000 0.000 0.000
Fe 0.251 0.251 0.251
Fe 0.500 0.500 0.500
Fe 0.749 0.749 0.749
O 0.125 0.125 0.125
O 0.373 0.373 0.373
O 0.627 0.627 0.627
O 0.875 0.875 0.875

The 10 most intense peaks (10° ≤ 2θ ≤ 90°), low angle first:
2theta, I/Imax
35.4, 14.2
36.1, 40.5
41.7, 100.0
60.0, 29.2
60.8, 28.1
71.7, 5.9
72.4, 10.9
72.8, 5.4
75.0, 4.5
76.5, 13.0

=====

[2]
Theoretical XRD peak list
Compound: MgFeO3
Radiation: Cu Kα
Structure: a crystal structure in the Materials Project, relaxed with GGA+U

Crystal structure
Cell lengths 6.498, 6.498, 5.361 Å; angles 90.02, 90.02, 83.14 degrees
Sites, in units of the cell vectors:
Mg 0.092 0.296 0.280
Mg 0.296 0.092 0.780
Mg 0.704 0.908 0.220
Mg 0.908 0.704 0.720
Fe 0.232 0.768 0.250
Fe 0.412 0.588 0.750
Fe 0.588 0.412 0.250
Fe 0.768 0.232 0.750
O 0.033 0.225 0.631
O 0.162 0.623 0.914
O 0.225 0.033 0.131
O 0.309 0.479 0.390
O 0.377 0.838 0.586
O 0.479 0.309 0.890
O 0.521 0.691 0.110
O 0.623 0.162 0.414
O 0.691 0.521 0.610
O 0.775 0.967 0.869
O 0.838 0.377 0.086
O 0.967 0.775 0.369

The 10 most intense peaks (10° ≤ 2θ ≤ 90°), low angle first:
2theta, I/Imax
13.7, 56.9
18.3, 94.8
29.4, 50.0
32.4, 100.0
33.4, 49.7
36.7, 76.1
38.4, 38.1
45.4, 46.8
60.0, 66.5
61.9, 47.7

=====

[3]
Theoretical XRD peak list
Compound: MgFe2O4
Radiation: Cu Kα
Structure: a crystal structure in the Materials Project, relaxed with GGA+U

Crystal structure
Cell lengths 6.026, 6.026, 14.756 Å; angles 90.00, 90.00, 120.00 degrees
Sites, in units of the cell vectors:
Mg 0.000 0.000 0.000
Mg 0.000 0.000 0.243
Mg 0.333 0.667 0.581
Mg 0.667 0.333 0.286
Mg 0.667 0.333 0.664
Mg 0.667 0.333 0.914
Fe 0.000 0.000 0.625
Fe 0.167 0.334 0.790
Fe 0.167 0.833 0.790
Fe 0.330 0.165 0.456
Fe 0.333 0.667 0.333
Fe 0.333 0.667 0.958
Fe 0.502 0.005 0.123
Fe 0.502 0.498 0.123
Fe 0.666 0.833 0.790
Fe 0.835 0.165 0.456
Fe 0.835 0.670 0.456
Fe 0.995 0.498 0.123
O 0.000 0.000 0.382
O 0.000 0.000 0.863
O 0.027 0.513 0.869
O 0.153 0.306 0.536
O 0.153 0.847 0.536
O 0.181 0.363 0.043
O 0.181 0.819 0.043
O 0.307 0.153 0.709
O 0.333 0.667 0.202
O 0.333 0.667 0.716
O 0.356 0.178 0.199
O 0.487 0.513 0.869
O 0.487 0.973 0.869
O 0.508 0.016 0.377
O 0.508 0.492 0.377
O 0.637 0.819 0.043
O 0.667 0.333 0.047
O 0.667 0.333 0.527
O 0.694 0.847 0.536
O 0.822 0.178 0.199
O 0.822 0.644 0.199
O 0.847 0.153 0.709
O 0.847 0.693 0.709
O 0.984 0.492 0.377

The 10 most intense peaks (10° ≤ 2θ ≤ 90°), low angle first:
2theta, I/Imax
18.0, 53.8
29.7, 14.5
34.9, 100.0
36.5, 12.0
42.4, 48.6
56.1, 37.7
61.6, 55.4
64.7, 7.5
72.8, 10.3
88.0, 16.4

=====

[4]
Theoretical XRD peak list
Compound: MgFe4O9
Radiation: Cu Kα
Structure: a crystal structure in the Materials Project, relaxed with GGA+U

Crystal structure
Cell lengths 8.241, 8.241, 5.259 Å; angles 90.00, 90.00, 90.00 degrees
Sites, in units of the cell vectors:
Mg 0.250 0.250 0.185
Mg 0.750 0.750 0.815
Fe 0.030 0.840 0.374
Fe 0.160 0.530 0.626
Fe 0.340 0.970 0.626
Fe 0.470 0.660 0.374
Fe 0.530 0.340 0.626
Fe 0.660 0.030 0.374
Fe 0.840 0.470 0.374
Fe 0.970 0.160 0.626
O 0.047 0.193 0.952
O 0.047 0.354 0.444
O 0.146 0.047 0.444
O 0.193 0.453 0.952
O 0.250 0.750 0.500
O 0.307 0.047 0.952
O 0.354 0.453 0.444
O 0.453 0.146 0.444
O 0.453 0.307 0.952
O 0.547 0.693 0.048
O 0.547 0.854 0.556
O 0.646 0.547 0.556
O 0.693 0.953 0.048
O 0.750 0.250 0.500
O 0.807 0.547 0.048
O 0.854 0.953 0.556
O 0.953 0.646 0.556
O 0.953 0.807 0.048

The 10 most intense peaks (10° ≤ 2θ ≤ 90°), low angle first:
2theta, I/Imax
16.9, 76.5
22.8, 16.6
29.6, 100.0
30.7, 13.4
34.4, 44.5
42.2, 39.2
49.5, 24.1
52.6, 26.6
58.7, 18.7
67.0, 18.4

=====

[5]
Theoretical XRD peak list
Compound: MgFe3O7
Radiation: Cu Kα
Structure: a crystal structure in the Materials Project, relaxed with GGA+U

Crystal structure
Cell lengths 10.348, 10.357, 5.305 Å; angles 90.00, 90.00, 90.00 degrees
Sites, in units of the cell vectors:
Mg 0.092 0.250 0.158
Mg 0.408 0.750 0.658
Mg 0.592 0.250 0.342
Mg 0.908 0.750 0.842
Fe 0.182 0.527 0.700
Fe 0.182 0.973 0.700
Fe 0.225 0.750 0.185
Fe 0.275 0.250 0.685
Fe 0.318 0.027 0.200
Fe 0.318 0.473 0.200
Fe 0.682 0.527 0.800
Fe 0.682 0.973 0.800
Fe 0.725 0.750 0.315
Fe 0.775 0.250 0.815
Fe 0.818 0.027 0.300
Fe 0.818 0.473 0.300
O 0.027 0.603 0.745
O 0.027 0.897 0.745
O 0.051 0.750 0.121
O 0.208 0.119 0.451
O 0.208 0.381 0.451
O 0.218 0.123 0.939
O 0.218 0.377 0.939
O 0.282 0.623 0.439
O 0.282 0.877 0.439
O 0.292 0.619 0.951
O 0.292 0.881 0.951
O 0.449 0.250 0.621
O 0.473 0.103 0.245
O 0.473 0.397 0.245
O 0.527 0.603 0.755
O 0.527 0.897 0.755
O 0.551 0.750 0.379
O 0.708 0.119 0.049
O 0.708 0.381 0.049
O 0.718 0.123 0.561
O 0.718 0.377 0.561
O 0.782 0.623 0.061
O 0.782 0.877 0.061
O 0.792 0.619 0.549
O 0.792 0.881 0.549
O 0.949 0.250 0.879
O 0.973 0.103 0.255
O 0.973 0.397 0.255

The 10 most intense peaks (10° ≤ 2θ ≤ 90°), low angle first:
2theta, I/Imax
17.1, 100.0
25.5, 41.9
29.7, 83.0
30.9, 41.3
33.8, 14.7
34.7, 14.1
35.5, 14.7
42.6, 20.4
50.0, 27.9
52.5, 21.8